No. 1
Starting from a structure optimized by DFT (GGA-PBE), the powder X-ray diffraction pattern of HfSi2Br was computed for Cu Kα X-rays.
Lines closer than 0.1° are merged.

Most intense lines, 2θ = 15–90°, in order of rising 2θ:
2θ = 22.7°, intensity 21
2θ = 26.3°, intensity 51
2θ = 37.5°, intensity 100
2θ = 44.3°, intensity 11
2θ = 46.4°, intensity 15
2θ = 54.1°, intensity 17
2θ = 61.1°, intensity 20
2θ = 67.7°, intensity 35
2θ = 80.1°, intensity 11
2θ = 86.0°, intensity 10

Structural model:
Cell lengths 6.781, 6.781, 6.781 Å; angles 90.00, 90.00, 90.00 degrees
Space group Fm-3m (No. 225)
Asymmetric unit:
1 Hf 0.000 0.000 0.000 (multiplicity 4)
2 Si 0.250 0.250 0.250 (multiplicity 8)
3 Br 0.000 0.000 0.500 (multiplicity 4)

No. 2
Starting from a structure optimized by DFT (GGA-PBE), the powder X-ray diffraction pattern of NdRe2 was computed for Cu Kα X-rays.
Lines closer than 0.1° are merged.

Most intense lines, 2θ = 15–90°, in order of rising 2θ:
2θ = 32.4°, intensity 20
2θ = 35.3°, intensity 60
2θ = 38.2°, intensity 100
2θ = 38.9°, intensity 95
2θ = 40.1°, intensity 24
2θ = 42.8°, intensity 28
2θ = 59.7°, intensity 23
2θ = 61.7°, intensity 25
2θ = 64.8°, intensity 33
2θ = 67.8°, intensity 30

Structural model:
Cell lengths 5.5276, 5.5276, 8.9954 Å; angles 90.00, 90.00, 120.00 degrees
Space group P6_3/mmc (No. 194)
Asymmetric unit:
1 Nd 0.3333 0.6667 0.0622 (multiplicity 4)
2 Re 0.0000 0.0000 0.0000 (multiplicity 2)
3 Re 0.1704 0.3407 0.7500 (multiplicity 6)

No. 3
Starting from a structure optimized by DFT (GGA-PBE), the powder X-ray diffraction pattern of AgBiTe2 was computed for Cu Kα X-rays.
Lines closer than 0.1° are merged.

Most intense lines, 2θ = 15–90°, in order of rising 2θ:
2θ = 28.7°, intensity 100
2θ = 40.7°, intensity 40
2θ = 41.5°, intensity 36
2θ = 50.6°, intensity 21
2θ = 52.0°, intensity 6
2θ = 59.5°, intensity 12
2θ = 66.8°, intensity 18
2θ = 68.0°, intensity 16
2θ = 74.0°, intensity 7
2θ = 74.6°, intensity 13

Structural model:
Cell lengths 4.4376, 4.4376, 21.1092 Å; angles 90.00, 90.00, 120.00 degrees
Space group R-3m (No. 166, hexagonal axes)
Asymmetric unit:
1 Ag 0.0000 0.0000 0.0000 (multiplicity 3)
2 Bi 0.0000 0.0000 0.5000 (multiplicity 3)
3 Te 0.0000 0.0000 0.2558 (multiplicity 6)

No. 4
Starting from a structure optimized by DFT (GGA-PBE), the powder X-ray diffraction pattern of GdGaGe2O7 was computed for Cu Kα X-rays.
Lines closer than 0.1° are merged.

Most intense lines, 2θ = 15–90°, in order of rising 2θ:
2θ = 15.4°, intensity 17
2θ = 27.5°, intensity 100
2θ = 28.0°, intensity 15
2θ = 29.6°, intensity 50
2θ = 30.6°, intensity 26
2θ = 31.1°, intensity 38
2θ = 32.9°, intensity 24
2θ = 35.8°, intensity 21
2θ = 44.5°, intensity 17
2θ = 47.7°, intensity 15

Structural model:
Cell lengths 7.317, 6.636, 12.965 Å; angles 90.00, 117.62, 90.00 degrees
Space group P2_1/c (No. 14)
Asymmetric unit:
1 Gd 0.245 0.144 0.474 (multiplicity 4)
2 Ga 0.212 0.100 0.731 (multiplicity 4)
3 Ge 0.216 0.659 0.457 (multiplicity 4)
4 Ge 0.302 0.589 0.722 (multiplicity 4)
5 O 0.013 0.658 0.921 (multiplicity 4)
6 O 0.153 0.688 0.188 (multiplicity 4)
7 O 0.212 0.054 0.875 (multiplicity 4)
8 O 0.220 0.111 0.281 (multiplicity 4)
9 O 0.256 0.502 0.579 (multiplicity 4)
10 O 0.411 0.671 0.981 (multiplicity 4)
11 O 0.428 0.122 0.690 (multiplicity 4)

No. 5
Starting from a structure optimized by DFT (GGA-PBE), the powder X-ray diffraction pattern of Sr4CuIr2O9 was computed for Cu Kα X-rays.
Lines closer than 0.1° are merged.

Most intense lines, 2θ = 15–90°, in order of rising 2θ:
2θ = 15.1°, intensity 45
2θ = 18.0°, intensity 64
2θ = 18.1°, intensity 35
2θ = 28.6°, intensity 31
2θ = 28.6°, intensity 23
2θ = 31.3°, intensity 49
2θ = 31.5°, intensity 100
2θ = 35.0°, intensity 23
2θ = 39.7°, intensity 31
2θ = 43.8°, intensity 34

Structural model:
Cell lengths 8.073, 9.804, 9.851 Å; angles 119.64, 90.13, 90.03 degrees
Space group P1 (No. 1)
Asymmetric unit:
1 Sr 0.000 0.000 0.000 (multiplicity 1)
2 Sr 0.000 0.341 0.699 (multiplicity 1)
3 Sr 0.002 0.705 0.343 (multiplicity 1)
4 Sr 0.245 0.018 0.329 (multiplicity 1)
5 Sr 0.248 0.370 0.035 (multiplicity 1)
6 Sr 0.251 0.653 0.683 (multiplicity 1)
7 Sr 0.492 0.327 0.663 (multiplicity 1)
8 Sr 0.492 0.682 0.369 (multiplicity 1)
9 Sr 0.499 0.038 0.015 (multiplicity 1)
10 Sr 0.747 0.333 0.999 (multiplicity 1)
11 Sr 0.747 0.687 0.681 (multiplicity 1)
12 Sr 0.748 0.015 0.354 (multiplicity 1)
13 Cu 0.014 0.401 0.402 (multiplicity 1)
14 Cu 0.247 0.011 0.738 (multiplicity 1)
15 Cu 0.482 0.737 0.065 (multiplicity 1)
16 Ir 0.138 0.674 0.007 (multiplicity 1)
17 Ir 0.357 0.345 0.340 (multiplicity 1)
18 Ir 0.592 0.009 0.672 (multiplicity 1)
19 Ir 0.669 0.345 0.340 (multiplicity 1)
20 Ir 0.826 0.672 0.006 (multiplicity 1)
21 Ir 0.903 0.010 0.673 (multiplicity 1)
22 O 0.036 0.017 0.508 (multiplicity 1)
23 O 0.056 0.167 0.840 (multiplicity 1)
24 O 0.059 0.852 0.678 (multiplicity 1)
25 O 0.203 0.331 0.495 (multiplicity 1)
26 O 0.203 0.518 0.363 (multiplicity 1)
27 O 0.221 0.185 0.164 (multiplicity 1)
28 O 0.273 0.495 0.848 (multiplicity 1)
29 O 0.291 0.696 0.181 (multiplicity 1)
30 O 0.294 0.828 0.995 (multiplicity 1)
31 O 0.436 0.854 0.683 (multiplicity 1)
32 O 0.439 0.171 0.834 (multiplicity 1)
33 O 0.457 0.006 0.502 (multiplicity 1)
34 O 0.510 0.166 0.321 (multiplicity 1)
35 O 0.511 0.366 0.181 (multiplicity 1)
36 O 0.511 0.508 0.525 (multiplicity 1)
37 O 0.670 0.820 0.990 (multiplicity 1)
38 O 0.671 0.696 0.173 (multiplicity 1)
39 O 0.694 0.499 0.852 (multiplicity 1)
40 O 0.746 0.174 0.668 (multiplicity 1)
41 O 0.748 0.844 0.506 (multiplicity 1)
42 O 0.749 0.006 0.841 (multiplicity 1)
43 O 0.798 0.190 0.166 (multiplicity 1)
44 O 0.825 0.513 0.364 (multiplicity 1)
45 O 0.826 0.330 0.488 (multiplicity 1)
46 O 0.984 0.514 0.028 (multiplicity 1)
47 O 0.984 0.654 0.828 (multiplicity 1)
48 O 0.984 0.858 0.168 (multiplicity 1)

No. 6
Starting from a structure optimized by DFT (GGA-PBE), the powder X-ray diffraction pattern of ScTlO2 was computed for Cu Kα X-rays.
Lines closer than 0.1° are merged.

Most intense lines, 2θ = 15–90°, in order of rising 2θ:
2θ = 27.5°, intensity 51
2θ = 32.0°, intensity 51
2θ = 33.0°, intensity 84
2θ = 36.7°, intensity 100
2θ = 39.4°, intensity 37
2θ = 49.4°, intensity 36
2θ = 56.3°, intensity 30
2θ = 57.5°, intensity 24
2θ = 58.2°, intensity 16
2θ = 63.8°, intensity 30

Structural model:
Cell lengths 3.2685, 3.2685, 19.4405 Å; angles 90.00, 90.00, 120.00 degrees
Space group R-3m (No. 166, hexagonal axes)
Asymmetric unit:
1 Sc 0.0000 0.0000 0.0000 (multiplicity 3)
2 Tl 0.0000 0.0000 0.5000 (multiplicity 3)
3 O 0.0000 0.0000 0.2788 (multiplicity 6)

No. 7
Starting from a structure optimized by DFT (GGA-PBE), the powder X-ray diffraction pattern of Nb5Cr3Se20 was computed for Cu Kα X-rays.
Lines closer than 0.1° are merged.

Most intense lines, 2θ = 15–90°, in order of rising 2θ:
2θ = 16.5°, intensity 29
2θ = 17.0°, intensity 11
2θ = 31.5°, intensity 100
2θ = 34.5°, intensity 33
2θ = 40.4°, intensity 27
2θ = 42.8°, intensity 30
2θ = 43.2°, intensity 15
2θ = 49.4°, intensity 11
2θ = 51.7°, intensity 27
2θ = 57.8°, intensity 12

Structural model:
Cell lengths 9.566, 3.536, 19.055 Å; angles 90.00, 91.58, 90.00 degrees
Space group Pm (No. 6)
Asymmetric unit:
1 Nb 0.000 0.000 0.000 (multiplicity 1)
2 Nb 0.001 0.000 0.723 (multiplicity 1)
3 Nb 0.310 0.500 0.863 (multiplicity 1)
4 Nb 0.501 0.000 0.500 (multiplicity 1)
5 Nb 0.809 0.500 0.361 (multiplicity 1)
6 Cr 0.286 0.500 0.126 (multiplicity 1)
7 Cr 0.522 0.000 0.235 (multiplicity 1)
8 Cr 0.796 0.500 0.628 (multiplicity 1)
9 Se 0.098 0.000 0.136 (multiplicity 1)
10 Se 0.101 0.000 0.864 (multiplicity 1)
11 Se 0.207 0.500 0.998 (multiplicity 1)
12 Se 0.208 0.500 0.726 (multiplicity 1)
13 Se 0.329 0.500 0.436 (multiplicity 1)
14 Se 0.331 0.500 0.560 (multiplicity 1)
15 Se 0.340 0.500 0.254 (multiplicity 1)
16 Se 0.467 0.000 0.107 (multiplicity 1)
17 Se 0.481 0.000 0.803 (multiplicity 1)
18 Se 0.482 0.000 0.927 (multiplicity 1)
19 Se 0.602 0.000 0.364 (multiplicity 1)
20 Se 0.609 0.000 0.635 (multiplicity 1)
21 Se 0.708 0.500 0.499 (multiplicity 1)
22 Se 0.710 0.500 0.225 (multiplicity 1)
23 Se 0.819 0.500 0.760 (multiplicity 1)
24 Se 0.829 0.500 0.936 (multiplicity 1)
25 Se 0.830 0.500 0.061 (multiplicity 1)
26 Se 0.969 0.000 0.594 (multiplicity 1)
27 Se 0.977 0.000 0.300 (multiplicity 1)
28 Se 0.982 0.000 0.424 (multiplicity 1)